(1)
The following is a theoretical powder X-ray diffraction pattern of HfCrSi. It was derived from DFT lattice parameters and positions (GGA-PBE), using Cu Ka.

Cell and atoms:
a = 6.7301 Å, b = 3.4572 Å, c = 7.8557 Å
α = 90.00°, β = 90.00°, γ = 90.00°
Fractional positions:
Hf 0.0415 0.2500 0.1702
Hf 0.4585 0.7500 0.6702
Hf 0.5415 0.2500 0.3298
Hf 0.9585 0.7500 0.8298
Cr 0.1263 0.2500 0.5615
Cr 0.3737 0.7500 0.0615
Cr 0.6263 0.2500 0.9385
Cr 0.8737 0.7500 0.4385
Si 0.2388 0.7500 0.3683
Si 0.2612 0.2500 0.8683
Si 0.7388 0.7500 0.1317
Si 0.7612 0.2500 0.6317

The 10 most intense peaks (10° ≤ 2θ ≤ 80°), in order of rising 2θ:
- 2θ = 17.4°, I = 21
- 2θ = 26.5°, I = 30
- 2θ = 28.2°, I = 44
- 2θ = 36.8°, I = 58
- 2θ = 37.1°, I = 100
- 2θ = 37.3°, I = 32
- 2θ = 39.1°, I = 71
- 2θ = 46.6°, I = 22
- 2θ = 53.0°, I = 20
- 2θ = 66.2°, I = 25

(2)
The following is a theoretical powder X-ray diffraction pattern of Cr2HgS4. It was derived from DFT lattice parameters and positions (GGA-PBE), using Cu Ka.

Cell and atoms:
a = 6.9720 Å, b = 13.4224 Å, c = 6.0797 Å
α = 90.00°, β = 90.00°, γ = 90.00°
Fractional positions:
Cr 0.0000 0.0000 0.0000
Cr 0.0000 0.5000 0.0000
Cr 0.2500 0.0060 0.4986
Cr 0.2500 0.4940 0.4986
Cr 0.5000 0.0000 0.0000
Cr 0.5000 0.5000 0.0000
Cr 0.7500 0.5060 0.5014
Cr 0.7500 0.9940 0.5014
Hg 0.2500 0.2500 0.8783
Hg 0.2500 0.7500 0.5505
Hg 0.7500 0.2500 0.4495
Hg 0.7500 0.7500 0.1217
S 0.0019 0.1001 0.6676
S 0.0019 0.3999 0.6676
S 0.2500 0.0963 0.1559
S 0.2500 0.4037 0.1559
S 0.2500 0.5939 0.8267
S 0.2500 0.9061 0.8267
S 0.4981 0.1001 0.6676
S 0.4981 0.3999 0.6676
S 0.5019 0.6001 0.3324
S 0.5019 0.8999 0.3324
S 0.7500 0.0939 0.1733
S 0.7500 0.4061 0.1733
S 0.7500 0.5963 0.8441
S 0.7500 0.9037 0.8441
S 0.9981 0.6001 0.3324
S 0.9981 0.8999 0.3324

The 10 most intense peaks (10° ≤ 2θ ≤ 80°), in order of rising 2θ:
- 2θ = 19.4°, I = 22
- 2θ = 20.5°, I = 100
- 2θ = 23.5°, I = 26
- 2θ = 25.6°, I = 21
- 2θ = 26.6°, I = 20
- 2θ = 27.9°, I = 50
- 2θ = 28.9°, I = 30
- 2θ = 35.7°, I = 33
- 2θ = 40.1°, I = 21
- 2θ = 52.5°, I = 21

(3)
The following is a theoretical powder X-ray diffraction pattern of Cr2HgS4. It was derived from DFT lattice parameters and positions (GGA-PBE), using Cu Ka.

Cell and atoms:
a = 6.0310 Å, b = 3.5845 Å, c = 6.8875 Å
α = 90.00°, β = 102.45°, γ = 90.00°
Fractional positions:
Cr 0.0000 0.0000 0.0000
Cr 0.5000 0.5000 0.0000
Hg 0.0000 0.0000 0.5000
S 0.2091 0.5000 0.1935
S 0.2912 0.0000 0.8134
S 0.7088 0.0000 0.1866
S 0.7909 0.5000 0.8065

The 10 most intense peaks (10° ≤ 2θ ≤ 80°), in order of rising 2θ:
- 2θ = 15.0°, I = 100
- 2θ = 17.8°, I = 69
- 2θ = 22.1°, I = 43
- 2θ = 28.2°, I = 46
- 2θ = 29.2°, I = 82
- 2θ = 30.7°, I = 48
- 2θ = 35.9°, I = 59
- 2θ = 37.4°, I = 34
- 2θ = 39.6°, I = 39
- 2θ = 42.1°, I = 69

(4)
The following is a theoretical powder X-ray diffraction pattern of Cr2HgS4. It was derived from DFT lattice parameters and positions (GGA-PBE), using Cu Ka.

Cell and atoms:
a = 6.5588 Å, b = 7.7151 Å, c = 12.3793 Å
α = 97.80°, β = 93.96°, γ = 90.35°
Fractional positions:
Cr 0.1335 0.4457 0.2951
Cr 0.1404 0.9565 0.2991
Cr 0.2494 0.6122 0.9992
Cr 0.3555 0.7971 0.7001
Cr 0.6445 0.2029 0.2999
Cr 0.7506 0.3878 0.0008
Cr 0.8596 0.0435 0.7009
Cr 0.8665 0.5543 0.7049
Hg 0.2493 0.1199 0.0016
Hg 0.3702 0.2985 0.6982
Hg 0.6298 0.7015 0.3018
Hg 0.7507 0.8801 0.9984
S 0.0778 0.4295 0.1117
S 0.1305 0.8770 0.1143
S 0.1729 0.5570 0.6286
S 0.1752 0.0115 0.6307
S 0.2621 0.7132 0.3683
S 0.3199 0.2159 0.3568
S 0.3695 0.8104 0.8800
S 0.4157 0.3647 0.9058
S 0.5843 0.6353 0.0942
S 0.6305 0.1896 0.1200
S 0.6801 0.7841 0.6432
S 0.7379 0.2868 0.6317
S 0.8248 0.9885 0.3693
S 0.8271 0.4430 0.3714
S 0.8695 0.1230 0.8857
S 0.9222 0.5705 0.8883

The 10 most intense peaks (10° ≤ 2θ ≤ 80°), in order of rising 2θ:
- 2θ = 14.5°, I = 31
- 2θ = 21.8°, I = 100
- 2θ = 27.2°, I = 35
- 2θ = 28.4°, I = 37
- 2θ = 28.7°, I = 48
- 2θ = 28.9°, I = 35
- 2θ = 32.9°, I = 29
- 2θ = 33.3°, I = 28
- 2θ = 41.8°, I = 34
- 2θ = 48.0°, I = 32

(5)
The following is a theoretical powder X-ray diffraction pattern of Cr2HgS4. It was derived from DFT lattice parameters and positions (GGA-PBE), using Cu Ka.

Cell and atoms:
a = 7.3158 Å, b = 7.3158 Å, c = 7.3158 Å
α = 60.00°, β = 60.00°, γ = 60.00°
Fractional positions:
Cr 0.0000 0.0000 0.0000
Cr 0.0000 0.0000 0.5000
Cr 0.0000 0.5000 0.0000
Cr 0.5000 0.0000 0.0000
Hg 0.3750 0.3750 0.3750
Hg 0.6250 0.6250 0.6250
S 0.1988 0.7671 0.7671
S 0.2329 0.2329 0.2329
S 0.2329 0.2329 0.8012
S 0.2329 0.8012 0.2329
S 0.7671 0.1988 0.7671
S 0.7671 0.7671 0.1988
S 0.7671 0.7671 0.7671
S 0.8012 0.2329 0.2329

The 10 most intense peaks (10° ≤ 2θ ≤ 80°), in order of rising 2θ:
- 2θ = 14.8°, I = 15
- 2θ = 24.3°, I = 89
- 2θ = 28.6°, I = 100
- 2θ = 37.9°, I = 19
- 2θ = 42.8°, I = 37
- 2θ = 45.6°, I = 50
- 2θ = 49.9°, I = 51
- 2θ = 56.2°, I = 15
- 2θ = 67.8°, I = 23
- 2θ = 69.8°, I = 21

(6)
The following is a theoretical powder X-ray diffraction pattern of Cr2HgS4. It was derived from DFT lattice parameters and positions (GGA-PBE), using Cu Ka.

Cell and atoms:
a = 11.2047 Å, b = 3.5239 Å, c = 12.8538 Å
α = 90.00°, β = 90.00°, γ = 90.00°
Fractional positions:
Cr 0.0543 0.2500 0.1126
Cr 0.0882 0.2500 0.5937
Cr 0.4118 0.7500 0.0937
Cr 0.4457 0.7500 0.6126
Cr 0.5543 0.2500 0.3874
Cr 0.5882 0.2500 0.9063
Cr 0.9118 0.7500 0.4063
Cr 0.9457 0.7500 0.8874
Hg 0.2413 0.2500 0.3203
Hg 0.2587 0.7500 0.8203
Hg 0.7413 0.2500 0.1797
Hg 0.7587 0.7500 0.6797
S 0.0476 0.7500 0.7132
S 0.0821 0.2500 0.9322
S 0.1132 0.7500 0.4636
S 0.1987 0.7500 0.1480
S 0.3013 0.2500 0.6480
S 0.3868 0.2500 0.9636
S 0.4179 0.7500 0.4322
S 0.4524 0.2500 0.2132
S 0.5476 0.7500 0.7868
S 0.5821 0.2500 0.5678
S 0.6132 0.7500 0.0364
S 0.6987 0.7500 0.3520
S 0.8013 0.2500 0.8520
S 0.8868 0.2500 0.5364
S 0.9179 0.7500 0.0678
S 0.9524 0.2500 0.2868

The 10 most intense peaks (10° ≤ 2θ ≤ 80°), in order of rising 2θ:
- 2θ = 15.9°, I = 76
- 2θ = 21.0°, I = 58
- 2θ = 26.2°, I = 50
- 2θ = 27.6°, I = 64
- 2θ = 28.9°, I = 36
- 2θ = 30.8°, I = 37
- 2θ = 33.9°, I = 100
- 2θ = 35.7°, I = 35
- 2θ = 41.0°, I = 47
- 2θ = 41.8°, I = 49